1.
# Rh
Simulated powder XRD pattern, Cu Kα. Input: the PBE geometry in the Materials Project.
Neutral-atom scattering factors, no anomalous dispersion.

Top 10 peaks for 2θ from 10° to 90°, in order of falling intensity:
2θ 43.37, I = 100; 2θ 40.75, I = 27; 2θ 38.05, I = 24; 2θ 83.10, I = 19; 2θ 75.99, I = 18; 2θ 68.75, I = 16; 2θ 56.97, I = 15; 2θ 84.87, I = 14; 2θ 88.27, I = 3; 2θ 81.37, I = 3

Atomic structure:
a b c (Å): 2.7310 2.7310 4.4285
angles (deg): 90.00 90.00 120.00
Positions (direct):
Rh 0.3333 0.6667 0.2500
Rh 0.6667 0.3333 0.7500

2.
# LiNb2P2O10
Simulated powder XRD pattern, Cu Kα. Input: the PBE geometry in the Materials Project.
Neutral-atom scattering factors, no anomalous dispersion.

Top 12 peaks for 2θ from 10° to 90°, in order of falling intensity:
2θ 22.88, I = 100; 2θ 27.15, I = 95; 2θ 27.60, I = 67; 2θ 22.17, I = 44; 2θ 23.31, I = 41; 2θ 19.27, I = 37; 2θ 46.08, I = 25; 2θ 41.34, I = 23; 2θ 56.96, I = 23; 2θ 26.15, I = 20; 2θ 39.11, I = 18; 2θ 42.65, I = 17

Atomic structure:
a b c (Å): 4.8718 6.4634 6.5759
angles (deg): 90.00 92.96 90.00
Positions (direct):
Li 0.0000 0.0000 0.0000
Nb 0.1385 0.5000 0.8133
Nb 0.6797 0.0000 0.3372
P 0.3952 0.5000 0.3251
P 0.4313 0.0000 0.8208
O 0.0409 0.0000 0.3073
O 0.2120 0.5000 0.5098
O 0.2163 0.5000 0.1243
O 0.2320 0.1862 0.8260
O 0.2320 0.8138 0.8260
O 0.5775 0.3047 0.3328
O 0.5775 0.6953 0.3328
O 0.6161 0.0000 0.0187
O 0.6189 0.0000 0.6439
O 0.7788 0.5000 0.8064

3.
# NaPrTe2
Simulated powder XRD pattern, Cu Kα. Input: the PBE geometry in the Materials Project.
Neutral-atom scattering factors, no anomalous dispersion.

Top 12 peaks for 2θ from 10° to 90°, in order of falling intensity:
2θ 27.44, I = 100; 2θ 39.20, I = 76; 2θ 64.06, I = 35; 2θ 48.51, I = 27; 2θ 71.04, I = 26; 2θ 11.79, I = 23; 2θ 56.64, I = 13; 2θ 22.68, I = 12; 2θ 84.27, I = 8; 2θ 23.71, I = 7; 2θ 35.89, I = 7; 2θ 41.07, I = 7

Atomic structure:
a b c (Å): 9.1929 9.1929 9.1929
angles (deg): 60.00 60.00 60.00
Positions (direct):
Na 0.0000 0.0000 0.0000
Na 0.0000 0.0000 0.5000
Na 0.0000 0.5000 0.0000
Na 0.5000 0.0000 0.0000
Pr 0.0000 0.5000 0.5000
Pr 0.5000 0.0000 0.5000
Pr 0.5000 0.5000 0.0000
Pr 0.5000 0.5000 0.5000
Te 0.2528 0.2528 0.2528
Te 0.2528 0.2528 0.7415
Te 0.2528 0.7415 0.2528
Te 0.2585 0.7472 0.7472
Te 0.7415 0.2528 0.2528
Te 0.7472 0.2585 0.7472
Te 0.7472 0.7472 0.2585
Te 0.7472 0.7472 0.7472